Entry 1:
# BeZn2Cl6
Calculated PXRD pattern, Cu Kα. Input: the PBE geometry in Alexandria.

Structural model:
```
BeZn2Cl6
1.0
6.3836 -6.7058 0.0000
6.3836 6.7058 0.0000
-2.7287 0.0000 5.7468
Be Zn Cl
2 4 12
direct
0.2206 0.7794 0.7500
0.7794 0.2206 0.2500
0.1868 0.3530 0.5831
0.3530 0.1868 0.0831
0.6470 0.8132 0.9169
0.8132 0.6470 0.4169
0.0450 0.7798 0.4658
0.1975 0.5908 0.8453
0.2202 0.9550 0.0342
0.2283 0.3730 0.2561
0.3730 0.2283 0.7561
0.4092 0.8025 0.6547
0.5908 0.1975 0.3453
0.6270 0.7717 0.2439
0.7717 0.6270 0.7439
0.7798 0.0450 0.9658
0.8025 0.4092 0.1547
0.9550 0.2202 0.5342
```

Largest 10 diffraction maxima, low angle first, 10 to 80 degrees two-theta:
Position (°2θ), d_spacing, Rel. int.
15.41, 5.749, 100.0
20.32, 4.371, 51.9
24.08, 3.696, 19.7
24.36, 3.654, 19.1
28.33, 3.150, 51.6
29.40, 3.038, 28.2
30.54, 2.928, 16.9
31.11, 2.875, 15.6
43.41, 2.085, 16.0
51.18, 1.785, 14.0

***

Entry 2:
# PmTlGa2
Calculated PXRD pattern, Cu Kα. Input: the PBE geometry in Alexandria.

Structural model:
```
PmTlGa2
1.0
4.5890 0.0000 0.0000
0.0000 4.5890 0.0000
0.0000 0.0000 4.4090
Pm Tl Ga
1 1 2
direct
0.0000 0.0000 0.0000
0.5000 0.5000 0.0000
0.0000 0.5000 0.5000
0.5000 0.0000 0.5000
```

Largest 10 diffraction maxima, low angle first, 10 to 80 degrees two-theta:
Position (°2θ), d_spacing, Rel. int.
20.14, 4.409, 15.1
27.49, 3.245, 14.3
34.31, 2.613, 100.0
39.26, 2.295, 34.6
40.94, 2.205, 15.4
56.74, 1.622, 11.8
58.02, 1.590, 22.1
68.01, 1.378, 27.3
70.32, 1.339, 12.4
72.31, 1.307, 11.4

***

Entry 3:
# Rb3Ca
Calculated PXRD pattern, Cu Kα. Input: the PBE geometry in Alexandria.

Structural model:
```
Rb3Ca
1.0
6.7590 0.0000 0.0000
0.0000 6.7590 0.0000
0.0000 0.0000 12.9378
Rb Ca
6 2
direct
0.0000 0.0000 0.0000
0.0000 0.5000 0.2500
0.0000 0.5000 0.7500
0.5000 0.0000 0.2500
0.5000 0.0000 0.7500
0.5000 0.5000 0.5000
0.0000 0.0000 0.5000
0.5000 0.5000 0.0000
```

Largest 10 diffraction maxima, low angle first, 10 to 80 degrees two-theta:
Position (°2θ), d_spacing, Rel. int.
23.14, 3.844, 100.0
26.37, 3.379, 36.0
27.58, 3.234, 16.0
37.64, 2.390, 13.7
38.53, 2.337, 25.6
44.65, 2.029, 33.1
46.19, 1.966, 15.7
47.29, 1.922, 13.9
61.04, 1.518, 13.1
68.53, 1.369, 9.0

***

Entry 4:
# Nd2Pd2O5
Calculated PXRD pattern, Cu Kα. Input: the PBE geometry in Alexandria.

Structural model:
```
Nd2Pd2O5
1.0
6.6521 0.0000 0.0000
0.0000 6.6521 0.0000
0.0000 0.0000 5.6257
Nd Pd O
4 4 10
direct
0.1076 0.2596 0.0000
0.2596 0.8924 0.5000
0.7404 0.1076 0.5000
0.8924 0.7404 0.0000
0.3053 0.4045 0.5000
0.4045 0.6947 0.0000
0.5955 0.3053 0.0000
0.6947 0.5955 0.5000
0.0000 0.0000 0.2500
0.0000 0.0000 0.7500
0.1950 0.5987 0.2416
0.1950 0.5987 0.7584
0.4013 0.1950 0.2584
0.4013 0.1950 0.7416
0.5987 0.8050 0.2584
0.5987 0.8050 0.7416
0.8050 0.4013 0.2416
0.8050 0.4013 0.7584
```

Largest 10 diffraction maxima, low angle first, 10 to 80 degrees two-theta:
Position (°2θ), d_spacing, Rel. int.
26.80, 3.326, 15.7
30.04, 2.975, 26.6
31.24, 2.863, 77.6
31.81, 2.813, 37.4
34.09, 2.630, 100.0
44.32, 2.044, 47.2
49.40, 1.845, 16.5
57.81, 1.595, 20.9
58.15, 1.586, 20.7
59.96, 1.543, 17.4

***

What is the formula in the fourth record?
Nd2Pd2O5